MnAu2C4N4O2: calculated PXRD pattern (Cu Kα X-rays), based on a structure optimized by DFT (PBE+U).

Cell and atoms:
```
data_MnAu2C4N4O2
_chemical_formula_sum 'Mn2 Au4 C8 N8 O4'
_symmetry_space_group_name_H-M 'I m m m'
_symmetry_Int_Tables_number 71
_symmetry_space_group_name_Hall '-I 2 2'
_cell_length_a 2.9577
_cell_length_b 6.1204
_cell_length_c 27.5158
_cell_angle_alpha 90.00
_cell_angle_beta 90.00
_cell_angle_gamma 90.00
loop_
_atom_site_label
_atom_site_fract_x
_atom_site_fract_y
_atom_site_fract_z
_atom_site_occupancy
Mn1 0.0000 0.0000 0.0000 1
Au1 0.0000 0.0000 0.1866 1
C1 0.0000 0.0000 0.1141 1
C2 0.0000 0.0000 0.2590 1
N1 0.0000 0.0000 0.0718 1
N2 0.0000 0.0000 0.3016 1
O1 0.0000 0.3050 0.5000 1
```

Largest 10 diffraction maxima, sorted by position, 2θ from 10° to 90°:
(hkl)  2θ/deg  d_spacing  I/Imax
0 1 1  14.83  5.974  100.0
0 1 3  17.42  5.091  73.5
0 0 6  19.36  4.586  43.5
0 1 5  21.72  4.092  74.4
0 2 0  29.18  3.060  41.6
1 1 0  33.65  2.663  59.7
1 1 2  34.30  2.614  25.5
0 1 11  38.89  2.316  27.9
1 1 8  42.95  2.106  27.6
1 0 11  47.55  1.912  38.2